# Mn7CdO12
Simulated X-ray diffraction stick pattern, copper Kα. Input: a DFT-relaxed cell (GGA+U, the Materials Project).

The 10 most intense peaks (2θ = 15–90°), by angle:
- 16.70°, I = 7
- 29.14°, I = 3
- 33.77°, I = 100
- 37.90°, I = 10
- 41.68°, I = 4
- 45.19°, I = 9
- 48.51°, I = 27
- 60.41°, I = 48
- 71.03°, I = 12
- 81.01°, I = 16

abc: 6.5013 6.5013 6.5013
angles: 109.47 109.47 109.47
Fractional positions:
1 Mn 0.0000 0.0000 0.5000
2 Mn 0.0000 0.5000 0.0000
3 Mn 0.0000 0.5000 0.5000
4 Mn 0.5000 0.0000 0.0000
5 Mn 0.5000 0.0000 0.5000
6 Mn 0.5000 0.5000 0.0000
7 Mn 0.5000 0.5000 0.5000
8 Cd 0.0000 0.0000 0.0000
9 O 0.1300 0.3094 0.8207
10 O 0.1793 0.4887 0.3094
11 O 0.1793 0.8700 0.6906
12 O 0.3094 0.1793 0.4887
13 O 0.3094 0.8207 0.1300
14 O 0.4887 0.3094 0.1793
15 O 0.5113 0.6906 0.8207
16 O 0.6906 0.1793 0.8700
17 O 0.6906 0.8207 0.5113
18 O 0.8207 0.1300 0.3094
19 O 0.8207 0.5113 0.6906
20 O 0.8700 0.6906 0.1793